Starting from the GGA-PBE geometry in Alexandria, the powder diffractogram of Dy7Ge2Te2 was calculated for CuKα.
Neutral-atom scattering factors, no anomalous dispersion.

Cell and atoms:
```
data_Dy7Ge2Te2
_chemical_formula_sum 'Dy14 Ge4 Te4'
_cell_length_a 8.837
_cell_length_b 10.601
_cell_length_c 7.059
_cell_angle_alpha 90.00
_cell_angle_beta 90.00
_cell_angle_gamma 90.00
_symmetry_space_group_name_H-M 'C m m m'
_symmetry_Int_Tables_number 65
_symmetry_space_group_name_Hall '-C 2 2'
loop_
_atom_site_label
_atom_site_fract_x
_atom_site_fract_y
_atom_site_fract_z
Dy1 0.000 0.000 0.000
Dy2 0.000 0.500 0.269
Dy3 0.250 0.250 0.279
Ge1 0.209 0.000 0.500
Te1 0.000 0.280 0.000
```

Top 12 peaks for 2θ from 5° to 70°, low angle first:
2θ = 23.8°, rel. 47.9
2θ = 26.3°, rel. 55.7
2θ = 28.5°, rel. 33.8
2θ = 32.5°, rel. 17.9
2θ = 33.8°, rel. 53.4
2θ = 36.7°, rel. 100.0
2θ = 37.4°, rel. 31.8
2θ = 40.8°, rel. 37.8
2θ = 41.8°, rel. 17.1
2θ = 42.0°, rel. 16.0
2θ = 54.0°, rel. 25.5
2θ = 62.4°, rel. 16.7